Diffraction record for K4Li3Fe2O8. The X-ray powder pattern is calculated, not measured: it uses a PBE+U-relaxed structure and Cu Kα, 1.54184 Å.
Peak positions follow from Bragg's law for the DFT cell and can differ from measured ones.

Most intense lines, 2θ = 15–90°, by angle:
two_theta, I/Imax
20.2, 70
21.7, 49
22.2, 49
27.3, 41
27.6, 48
31.5, 40
33.5, 40
33.8, 100
33.9, 46
34.1, 95

Cell lengths 5.578, 8.788, 10.779 Å; angles 87.61, 80.16, 86.95 degrees
Fractional positions:
K (0.000, 0.000, 0.000)
K (0.030, 0.743, 0.538)
K (0.150, 0.551, 0.250)
K (0.251, 0.301, 0.714)
K (0.475, 0.249, 0.039)
K (0.516, 0.030, 0.499)
K (0.613, 0.821, 0.238)
K (0.745, 0.488, 0.764)
Li (0.111, 0.297, 0.453)
Li (0.443, 0.758, 0.681)
Li (0.565, 0.286, 0.306)
Li (0.652, 0.754, 0.935)
Li (0.741, 0.524, 0.091)
Li (0.944, 0.022, 0.686)
Fe (0.048, 0.066, 0.324)
Fe (0.172, 0.576, 0.943)
Fe (0.520, 0.993, 0.816)
Fe (0.618, 0.507, 0.447)
O (0.005, 0.073, 0.492)
O (0.018, 0.406, 0.981)
O (0.142, 0.877, 0.302)
O (0.232, 0.223, 0.273)
O (0.262, 0.596, 0.780)
O (0.263, 0.991, 0.732)
O (0.447, 0.337, 0.481)
O (0.458, 0.569, 0.996)
O (0.513, 0.958, 0.981)
O (0.535, 0.700, 0.499)
O (0.637, 0.508, 0.271)
O (0.666, 0.173, 0.785)
O (0.711, 0.828, 0.752)
O (0.789, 0.110, 0.255)
O (0.894, 0.465, 0.509)
O (0.936, 0.698, 0.021)

Diffraction record for Li2V3O6. The X-ray powder pattern is calculated, not measured: it uses a PBE+U-relaxed structure and Cu Kα, 1.54184 Å.
Peak positions follow from Bragg's law for the DFT cell and can differ from measured ones.

Most intense lines, 2θ = 15–90°, by angle:
two_theta, I/Imax
17.9, 100
34.6, 12
34.9, 12
35.9, 11
41.8, 24
42.3, 23
43.5, 21
46.4, 6
60.9, 7
62.4, 6

Cell lengths 5.100, 5.216, 10.039 Å; angles 80.09, 86.44, 61.10 degrees
Fractional positions:
Li (0.146, 0.175, 0.499)
Li (0.160, 0.674, 0.001)
Li (0.840, 0.326, 0.999)
Li (0.854, 0.825, 0.501)
V (0.160, 0.915, 0.251)
V (0.175, 0.415, 0.751)
V (0.495, 0.254, 0.251)
V (0.505, 0.746, 0.749)
V (0.825, 0.585, 0.249)
V (0.840, 0.085, 0.749)
O (0.144, 0.298, 0.143)
O (0.146, 0.042, 0.860)
O (0.150, 0.809, 0.640)
O (0.151, 0.559, 0.360)
O (0.484, 0.615, 0.143)
O (0.486, 0.890, 0.353)
O (0.514, 0.110, 0.647)
O (0.516, 0.385, 0.857)
O (0.849, 0.441, 0.640)
O (0.850, 0.191, 0.360)
O (0.854, 0.958, 0.140)
O (0.856, 0.702, 0.857)

Diffraction record for Li4Co3NiO8. The X-ray powder pattern is calculated, not measured: it uses a PBE+U-relaxed structure and Cu Kα, 1.54184 Å.
Peak positions follow from Bragg's law for the DFT cell and can differ from measured ones.

Most intense lines, 2θ = 15–90°, by angle:
two_theta, I/Imax
18.3, 100
35.6, 15
36.2, 28
37.7, 10
43.1, 26
43.8, 49
47.7, 10
57.6, 9
63.0, 20
63.3, 14

Cell lengths 5.904, 5.904, 10.227 Å; angles 107.14, 107.14, 58.84 degrees
Fractional positions:
Li (0.000, 0.500, 0.000)
Li (0.000, 0.500, 0.500)
Li (0.248, 0.248, 0.244)
Li (0.250, 0.250, 0.750)
Li (0.500, 0.000, 0.000)
Li (0.500, 0.000, 0.500)
Li (0.750, 0.750, 0.250)
Li (0.752, 0.752, 0.756)
Co (0.000, 0.000, 0.500)
Co (0.249, 0.749, 0.250)
Co (0.251, 0.751, 0.750)
Co (0.500, 0.500, 0.000)
Co (0.749, 0.249, 0.250)
Co (0.751, 0.251, 0.750)
Ni (0.000, 0.000, 0.000)
Ni (0.500, 0.500, 0.500)
O (0.113, 0.113, 0.380)
O (0.113, 0.113, 0.862)
O (0.121, 0.657, 0.384)
O (0.144, 0.625, 0.877)
O (0.343, 0.879, 0.616)
O (0.375, 0.856, 0.123)
O (0.380, 0.380, 0.128)
O (0.390, 0.390, 0.636)
O (0.610, 0.610, 0.364)
O (0.620, 0.620, 0.872)
O (0.625, 0.144, 0.877)
O (0.657, 0.121, 0.384)
O (0.856, 0.375, 0.123)
O (0.879, 0.343, 0.616)
O (0.887, 0.887, 0.138)
O (0.887, 0.887, 0.620)

Diffraction record for BaSrNiBiO6. The X-ray powder pattern is calculated, not measured: it uses a PBE+U-relaxed structure and Cu Kα, 1.54184 Å.
Peak positions follow from Bragg's law for the DFT cell and can differ from measured ones.

Most intense lines, 2θ = 15–90°, by angle:
two_theta, I/Imax
18.6, 21
30.5, 100
36.0, 14
43.7, 31
47.9, 7
54.2, 41
63.5, 19
72.1, 18
80.3, 6
88.3, 22

Cell lengths 5.858, 5.858, 5.858 Å; angles 60.00, 60.00, 60.00 degrees
Fractional positions:
Ba (0.000, 0.000, 0.000)
Sr (0.500, 0.500, 0.500)
Ni (0.250, 0.250, 0.250)
Bi (0.750, 0.750, 0.750)
O (0.005, 0.005, 0.495)
O (0.005, 0.495, 0.005)
O (0.005, 0.495, 0.495)
O (0.495, 0.005, 0.005)
O (0.495, 0.005, 0.495)
O (0.495, 0.495, 0.005)

Diffraction record for Li9Mn2Co5O16. The X-ray powder pattern is calculated, not measured: it uses a PBE+U-relaxed structure and Cu Kα, 1.54184 Å.
Peak positions follow from Bragg's law for the DFT cell and can differ from measured ones.

Most intense lines, 2θ = 15–90°, by angle:
two_theta, I/Imax
18.3, 100
35.4, 15
35.9, 13
36.5, 12
37.5, 8
42.7, 29
43.5, 27
44.3, 26
47.5, 9
62.6, 15

Cell lengths 5.864, 5.919, 9.739 Å; angles 79.43, 80.24, 60.45 degrees
Fractional positions:
Li (0.000, 0.000, 0.000)
Li (0.000, 0.497, 0.999)
Li (0.129, 0.119, 0.245)
Li (0.252, 0.748, 0.501)
Li (0.376, 0.377, 0.754)
Li (0.500, 0.997, 0.003)
Li (0.628, 0.615, 0.246)
Li (0.755, 0.243, 0.501)
Li (0.874, 0.882, 0.760)
Mn (0.251, 0.243, 0.501)
Mn (0.502, 0.502, 0.999)
Co (0.122, 0.626, 0.243)
Co (0.364, 0.884, 0.759)
Co (0.638, 0.118, 0.245)
Co (0.756, 0.744, 0.501)
Co (0.879, 0.373, 0.753)
O (0.073, 0.526, 0.619)
O (0.082, 0.058, 0.620)
O (0.167, 0.196, 0.861)
O (0.217, 0.684, 0.875)
O (0.323, 0.780, 0.120)
O (0.326, 0.321, 0.119)
O (0.422, 0.421, 0.379)
O (0.438, 0.960, 0.381)
O (0.547, 0.056, 0.620)
O (0.593, 0.565, 0.630)
O (0.672, 0.691, 0.884)
O (0.683, 0.225, 0.877)
O (0.784, 0.313, 0.126)
O (0.822, 0.806, 0.140)
O (0.934, 0.918, 0.376)
O (0.963, 0.424, 0.385)

Diffraction record for BaSrFe4O8. The X-ray powder pattern is calculated, not measured: it uses a PBE+U-relaxed structure and Cu Kα, 1.54184 Å.
Peak positions follow from Bragg's law for the DFT cell and can differ from measured ones.

Most intense lines, 2θ = 15–90°, by angle:
two_theta, I/Imax
28.4, 49
28.5, 100
32.4, 67
32.7, 35
43.5, 18
43.6, 17
43.8, 31
55.3, 36
55.5, 26
58.1, 18

Cell lengths 10.464, 10.464, 5.483 Å; angles 90.00, 90.00, 133.25 degrees
Fractional positions:
Ba (0.117, 0.883, 0.500)
Ba (0.883, 0.117, 0.000)
Sr (0.372, 0.628, 0.030)
Sr (0.628, 0.372, 0.530)
Fe (0.005, 0.425, 0.528)
Fe (0.186, 0.274, 0.515)
Fe (0.274, 0.186, 0.015)
Fe (0.425, 0.005, 0.028)
Fe (0.575, 0.995, 0.528)
Fe (0.726, 0.814, 0.515)
Fe (0.814, 0.726, 0.015)
Fe (0.995, 0.575, 0.028)
O (0.016, 0.425, 0.181)
O (0.046, 0.954, 0.018)
O (0.174, 0.428, 0.672)
O (0.216, 0.784, 0.130)
O (0.256, 0.334, 0.183)
O (0.334, 0.256, 0.683)
O (0.425, 0.016, 0.681)
O (0.428, 0.174, 0.172)
O (0.572, 0.826, 0.672)
O (0.575, 0.984, 0.181)
O (0.666, 0.744, 0.183)
O (0.744, 0.666, 0.683)
O (0.784, 0.216, 0.630)
O (0.826, 0.572, 0.172)
O (0.954, 0.046, 0.518)
O (0.984, 0.575, 0.681)

Diffraction record for NaNiF3. The X-ray powder pattern is calculated, not measured: it uses a PBE+U-relaxed structure and Cu Kα, 1.54184 Å.
Peak positions follow from Bragg's law for the DFT cell and can differ from measured ones.

Most intense lines, 2θ = 15–90°, by angle:
two_theta, I/Imax
22.9, 100
31.9, 23
32.6, 90
33.2, 18
46.7, 40
46.8, 22
52.7, 31
57.3, 18
58.9, 31
68.3, 15

Cell lengths 5.607, 7.762, 5.401 Å; angles 90.00, 90.00, 90.00 degrees
Fractional positions:
Na (0.060, 0.250, 0.016)
Na (0.440, 0.750, 0.516)
Na (0.560, 0.250, 0.484)
Na (0.940, 0.750, 0.984)
Ni (0.000, 0.000, 0.500)
Ni (0.000, 0.500, 0.500)
Ni (0.500, 0.000, 0.000)
Ni (0.500, 0.500, 0.000)
F (0.037, 0.750, 0.395)
F (0.200, 0.554, 0.804)
F (0.200, 0.946, 0.804)
F (0.300, 0.054, 0.304)
F (0.300, 0.446, 0.304)
F (0.463, 0.250, 0.895)
F (0.537, 0.750, 0.105)
F (0.700, 0.554, 0.696)
F (0.700, 0.946, 0.696)
F (0.800, 0.054, 0.196)
F (0.800, 0.446, 0.196)
F (0.963, 0.250, 0.605)

Diffraction record for GdCrTeO6. The X-ray powder pattern is calculated, not measured: it uses a PBE+U-relaxed structure and Cu Kα, 1.54184 Å.
Peak positions follow from Bragg's law for the DFT cell and can differ from measured ones.

Most intense lines, 2θ = 15–90°, by angle:
two_theta, I/Imax
18.8, 24
20.5, 46
28.0, 100
32.8, 71
39.0, 62
43.7, 29
54.1, 57
55.7, 28
58.6, 26
83.9, 15

Cell lengths 5.456, 5.456, 8.649 Å; angles 90.00, 90.00, 120.00 degrees
Fractional positions:
Gd (0.333, 0.667, 0.250)
Gd (0.667, 0.333, 0.750)
Cr (0.000, 0.000, 0.000)
Cr (0.000, 0.000, 0.500)
Te (0.333, 0.667, 0.750)
Te (0.667, 0.333, 0.250)
O (0.048, 0.354, 0.877)
O (0.048, 0.694, 0.623)
O (0.306, 0.354, 0.623)
O (0.306, 0.952, 0.877)
O (0.354, 0.048, 0.377)
O (0.354, 0.306, 0.123)
O (0.646, 0.694, 0.877)
O (0.646, 0.952, 0.623)
O (0.694, 0.048, 0.123)
O (0.694, 0.646, 0.377)
O (0.952, 0.306, 0.377)
O (0.952, 0.646, 0.123)